Theoretical PXRD pattern
Compound: Ca2TiI2
Radiation: Cu Kα (weighted mean of Kα1 and Kα2)
Structure: the PBE geometry in Alexandria
Lines closer than 0.1° are merged.

Crystal structure
```
data_Ca2TiI2
_symmetry_space_group_name_H-M 'P 4/m b m'
_symmetry_Int_Tables_number 127
_symmetry_space_group_name_Hall '-P 4 2ab'
_cell_length_a 9.213
_cell_length_b 9.213
_cell_length_c 3.828
_cell_angle_alpha 90.00
_cell_angle_beta 90.00
_cell_angle_gamma 90.00
loop_
_atom_site_label
_atom_site_type_symbol
_atom_site_fract_x
_atom_site_fract_y
_atom_site_fract_z
Ca1 Ca 0.162 0.338 0.000
Ti1 Ti 0.000 0.000 0.000
I1 I 0.139 0.639 0.500
```

Most intense lines, 15 to 90 degrees two-theta, by angle:
d = 4.120 Å, 21.57°, I 32; d = 3.300 Å, 27.02°, I 20; d = 2.913 Å, 30.69°, I 46; d = 2.804 Å, 31.91°, I 100; d = 2.555 Å, 35.12°, I 8; d = 2.303 Å, 39.11°, I 13; d = 2.171 Å, 41.59°, I 9; d = 2.125 Å, 42.54°, I 12; d = 1.974 Å, 45.99°, I 15; d = 1.914 Å, 47.50°, I 9; d = 1.600 Å, 57.62°, I 14; d = 1.562 Å, 59.15°, I 23

=====

Theoretical PXRD pattern
Compound: CaY2TiI
Radiation: Cu Kα (weighted mean of Kα1 and Kα2)
Structure: the PBE geometry in Alexandria
Lines closer than 0.1° are merged.

Crystal structure
```
data_CaY2TiI
_symmetry_space_group_name_H-M 'P 4/m m m'
_symmetry_Int_Tables_number 123
_symmetry_space_group_name_Hall '-P 4 2'
_cell_length_a 5.896
_cell_length_b 5.896
_cell_length_c 4.835
_cell_angle_alpha 90.00
_cell_angle_beta 90.00
_cell_angle_gamma 90.00
loop_
_atom_site_label
_atom_site_type_symbol
_atom_site_fract_x
_atom_site_fract_y
_atom_site_fract_z
Ca1 Ca 0.000 0.000 0.000
Y1 Y 0.000 0.500 0.000
Ti1 Ti 0.000 0.000 0.500
I1 I 0.500 0.500 0.500
```

Most intense lines, 15 to 90 degrees two-theta, by angle:
d = 3.739 Å, 23.80°, I 23; d = 3.157 Å, 28.27°, I 100; d = 2.948 Å, 30.32°, I 67; d = 2.417 Å, 37.19°, I 19; d = 2.315 Å, 38.91°, I 12; d = 2.085 Å, 43.41°, I 24; d = 1.869 Å, 48.71°, I 34; d = 1.740 Å, 52.61°, I 34; d = 1.579 Å, 58.46°, I 19; d = 1.503 Å, 61.71°, I 10; d = 1.318 Å, 71.57°, I 10; d = 1.157 Å, 83.53°, I 14

=====

Theoretical PXRD pattern
Compound: CaZn5I12
Radiation: Cu Kα (weighted mean of Kα1 and Kα2)
Structure: the PBE geometry in Alexandria
Lines closer than 0.1° are merged.

Crystal structure
```
data_CaZn5I12
_symmetry_space_group_name_H-M 'P -1'
_symmetry_Int_Tables_number 2
_cell_length_a 7.279
_cell_length_b 7.633
_cell_length_c 16.233
_cell_angle_alpha 82.41
_cell_angle_beta 85.81
_cell_angle_gamma 65.56
loop_
_symmetry_equiv_pos_as_xyz
'x,y,z'
'-x,-y,-z'
loop_
_atom_site_label
_atom_site_type_symbol
_atom_site_fract_x
_atom_site_fract_y
_atom_site_fract_z
Ca1 Ca 0.000 0.000 0.000
Zn1 Zn 0.054 0.665 0.552
Zn2 Zn 0.435 0.309 0.064
Zn3 Zn 0.500 0.000 0.500
I1 I 0.081 0.302 0.601
I2 I 0.094 0.284 0.097
I3 I 0.264 0.070 0.374
I4 I 0.288 0.980 0.849
I5 I 0.376 0.694 0.591
I6 I 0.406 0.665 0.093
```

Most intense lines, 15 to 90 degrees two-theta, by angle:
d = 4.022 Å, 22.10°, I 93; d = 3.681 Å, 24.18°, I 100; d = 3.619 Å, 24.60°, I 92; d = 3.591 Å, 24.79°, I 71; d = 3.528 Å, 25.25°, I 84; d = 3.406 Å, 26.16°, I 38; d = 3.240 Å, 27.53°, I 74; d = 2.805 Å, 31.91°, I 45; d = 2.587 Å, 34.67°, I 49; d = 2.302 Å, 39.14°, I 42; d = 2.243 Å, 40.20°, I 33; d = 1.951 Å, 46.54°, I 35

=====

Theoretical PXRD pattern
Compound: Ca5In3
Radiation: Cu Kα (weighted mean of Kα1 and Kα2)
Structure: the PBE geometry in Alexandria
Lines closer than 0.1° are merged.

Crystal structure
```
data_Ca5In3
_symmetry_space_group_name_H-M 'P -6 2 m'
_symmetry_Int_Tables_number 189
_symmetry_space_group_name_Hall 'P -6 -2'
_cell_length_a 9.0005
_cell_length_b 9.0005
_cell_length_c 3.4896
_cell_angle_alpha 90.00
_cell_angle_beta 90.00
_cell_angle_gamma 120.00
loop_
_atom_site_label
_atom_site_type_symbol
_atom_site_fract_x
_atom_site_fract_y
_atom_site_fract_z
Ca1 Ca 0.0000 0.2482 0.0000
Ca2 Ca 0.3333 0.6667 0.0000
In1 In 0.0000 0.6306 0.5000
```

Most intense lines, 15 to 90 degrees two-theta, by angle:
d = 4.500 Å, 19.73°, I 52; d = 2.946 Å, 30.34°, I 28; d = 2.758 Å, 32.47°, I 100; d = 2.599 Å, 34.51°, I 57; d = 2.250 Å, 40.07°, I 16; d = 1.891 Å, 48.12°, I 16; d = 1.838 Å, 49.60°, I 10; d = 1.701 Å, 53.89°, I 10; d = 1.591 Å, 57.95°, I 11; d = 1.529 Å, 60.56°, I 18; d = 1.448 Å, 64.31°, I 12; d = 1.126 Å, 86.46°, I 18

=====

Theoretical PXRD pattern
Compound: Ca3In2
Radiation: Cu Kα (weighted mean of Kα1 and Kα2)
Structure: the PBE geometry in Alexandria
Lines closer than 0.1° are merged.

Crystal structure
```
data_Ca3In2
_symmetry_space_group_name_H-M 'P 42/m n m'
_symmetry_Int_Tables_number 136
_symmetry_space_group_name_Hall '-P 4n 2n'
_cell_length_a 8.862
_cell_length_b 8.862
_cell_length_c 8.036
_cell_angle_alpha 90.00
_cell_angle_beta 90.00
_cell_angle_gamma 90.00
loop_
_atom_site_label
_atom_site_type_symbol
_atom_site_fract_x
_atom_site_fract_y
_atom_site_fract_z
Ca1 Ca 0.000 0.500 0.250
Ca2 Ca 0.151 0.151 0.000
Ca3 Ca 0.194 0.194 0.500
In1 In 0.126 0.874 0.294
```

Most intense lines, 15 to 90 degrees two-theta, by angle:
d = 4.018 Å, 22.12°, I 19; d = 3.963 Å, 22.43°, I 34; d = 2.822 Å, 31.71°, I 100; d = 2.802 Å, 31.94°, I 47; d = 2.564 Å, 34.99°, I 16; d = 2.459 Å, 36.54°, I 30; d = 2.299 Å, 39.19°, I 16; d = 2.215 Å, 40.73°, I 15; d = 2.097 Å, 43.15°, I 20; d = 2.036 Å, 44.50°, I 11; d = 1.523 Å, 60.83°, I 13; d = 1.478 Å, 62.88°, I 13

=====

Theoretical PXRD pattern
Compound: Ca3In3Ir2
Radiation: Cu Kα (weighted mean of Kα1 and Kα2)
Structure: the PBE geometry in Alexandria
Lines closer than 0.1° are merged.

Crystal structure
```
data_Ca3In3Ir2
_symmetry_space_group_name_H-M 'P n m a'
_symmetry_Int_Tables_number 62
_cell_length_a 8.235
_cell_length_b 16.313
_cell_length_c 5.957
_cell_angle_alpha 90.00
_cell_angle_beta 90.00
_cell_angle_gamma 90.00
loop_
_symmetry_equiv_pos_as_xyz
'x,y,z'
'-x,-y,-z'
'-x+1/2,-y,z+1/2'
'x+1/2,y,-z+1/2'
'x+1/2,-y+1/2,-z+1/2'
'-x+1/2,y+1/2,z+1/2'
'-x,y+1/2,-z'
'x,-y+1/2,z'
loop_
_atom_site_label
_atom_site_type_symbol
_atom_site_fract_x
_atom_site_fract_y
_atom_site_fract_z
Ca1 Ca 0.037 0.111 0.095
Ca2 Ca 0.176 0.250 0.636
In1 In 0.166 0.750 0.620
In2 In 0.172 0.037 0.600
Ir1 Ir 0.123 0.610 0.388
```

Most intense lines, 15 to 90 degrees two-theta, by angle:
d = 4.827 Å, 18.38°, I 66; d = 4.628 Å, 19.18°, I 33; d = 4.016 Å, 22.13°, I 51; d = 3.992 Å, 22.27°, I 30; d = 2.761 Å, 32.43°, I 17; d = 2.606 Å, 34.42°, I 60; d = 2.491 Å, 36.05°, I 100; d = 2.309 Å, 39.01°, I 58; d = 2.099 Å, 43.10°, I 36; d = 2.028 Å, 44.68°, I 31; d = 1.892 Å, 48.08°, I 21; d = 1.638 Å, 56.15°, I 25

=====

Theoretical PXRD pattern
Compound: Ca3In9Ir2
Radiation: Cu Kα (weighted mean of Kα1 and Kα2)
Structure: the PBE geometry in Alexandria
Lines closer than 0.1° are merged.

Crystal structure
```
data_Ca3In9Ir2
_symmetry_space_group_name_H-M 'I m m m'
_symmetry_Int_Tables_number 71
_symmetry_space_group_name_Hall '-I 2 2'
_cell_length_a 4.629
_cell_length_b 11.023
_cell_length_c 13.079
_cell_angle_alpha 90.00
_cell_angle_beta 90.00
_cell_angle_gamma 90.00
loop_
_atom_site_label
_atom_site_type_symbol
_atom_site_fract_x
_atom_site_fract_y
_atom_site_fract_z
Ca1 Ca 0.000 0.000 0.000
Ca2 Ca 0.000 0.000 0.301
In1 In 0.000 0.290 0.133
In2 In 0.000 0.365 0.360
In3 In 0.000 0.500 0.000
Ir1 Ir 0.000 0.160 0.500
```

Most intense lines, 15 to 90 degrees two-theta, by angle:
d = 5.511 Å, 16.08°, I 33; d = 4.054 Å, 21.92°, I 33; d = 2.811 Å, 31.84°, I 39; d = 2.750 Å, 32.56°, I 76; d = 2.634 Å, 34.04°, I 57; d = 2.595 Å, 34.56°, I 43; d = 2.330 Å, 38.64°, I 72; d = 2.314 Å, 38.92°, I 62; d = 2.180 Å, 41.42°, I 25; d = 2.160 Å, 41.82°, I 100; d = 1.586 Å, 58.18°, I 27; d = 1.467 Å, 63.42°, I 31

=====

Theoretical PXRD pattern
Compound: CaIn2Ir
Radiation: Cu Kα (weighted mean of Kα1 and Kα2)
Structure: the PBE geometry in Alexandria
Lines closer than 0.1° are merged.

Crystal structure
```
data_CaIn2Ir
_symmetry_space_group_name_H-M 'C 1 m 1'
_symmetry_Int_Tables_number 8
_cell_length_a 8.034
_cell_length_b 4.641
_cell_length_c 5.881
_cell_angle_alpha 90.00
_cell_angle_beta 117.01
_cell_angle_gamma 90.00
loop_
_symmetry_equiv_pos_as_xyz
'x,y,z'
'x,-y,z'
'x+1/2,y+1/2,z'
'x+1/2,-y+1/2,z'
loop_
_atom_site_label
_atom_site_type_symbol
_atom_site_fract_x
_atom_site_fract_y
_atom_site_fract_z
Ca1 Ca 0.000 0.000 0.000
In1 In 0.211 0.000 0.633
In2 In 0.446 0.000 0.339
Ir1 Ir 0.314 0.500 0.440
```

Most intense lines, 15 to 90 degrees two-theta, by angle:
d = 5.240 Å, 16.92°, I 98; d = 3.578 Å, 24.89°, I 49; d = 2.809 Å, 31.85°, I 14; d = 2.476 Å, 36.28°, I 94; d = 2.320 Å, 38.82°, I 100; d = 2.121 Å, 42.62°, I 59; d = 1.765 Å, 51.79°, I 23; d = 1.693 Å, 54.18°, I 29; d = 1.405 Å, 66.57°, I 11; d = 1.368 Å, 68.63°, I 28; d = 1.339 Å, 70.28°, I 17; d = 1.298 Å, 72.90°, I 12

=====

Theoretical PXRD pattern
Compound: Ca8InIr2
Radiation: Cu Kα (weighted mean of Kα1 and Kα2)
Structure: the PBE geometry in Alexandria
Lines closer than 0.1° are merged.

Crystal structure
```
data_Ca8InIr2
_symmetry_space_group_name_H-M 'P 1'
_symmetry_Int_Tables_number 1
_cell_length_a 6.712
_cell_length_b 7.767
_cell_length_c 8.232
_cell_angle_alpha 113.01
_cell_angle_beta 108.38
_cell_angle_gamma 101.31
loop_
_symmetry_equiv_pos_as_xyz
'x,y,z'
loop_
_atom_site_label
_atom_site_type_symbol
_atom_site_fract_x
_atom_site_fract_y
_atom_site_fract_z
Ca1 Ca 0.000 0.000 0.000
Ca2 Ca 0.009 0.475 0.779
Ca3 Ca 0.251 0.538 0.278
Ca4 Ca 0.339 0.226 0.547
Ca5 Ca 0.403 0.898 0.779
Ca6 Ca 0.633 0.595 0.000
Ca7 Ca 0.661 0.336 0.278
Ca8 Ca 0.841 0.915 0.547
In1 In 0.416 0.896 0.198
Ir1 Ir 0.266 0.246 0.898
Ir2 Ir 0.640 0.620 0.646
```

Most intense lines, 15 to 90 degrees two-theta, by angle:
d = 5.547 Å, 15.98°, I 72; d = 4.305 Å, 20.63°, I 100; d = 3.906 Å, 22.77°, I 65; d = 3.790 Å, 23.47°, I 82; d = 2.974 Å, 30.05°, I 69; d = 2.773 Å, 32.28°, I 60; d = 2.652 Å, 33.80°, I 72; d = 2.570 Å, 34.91°, I 69; d = 2.522 Å, 35.60°, I 48; d = 2.401 Å, 37.46°, I 68; d = 2.382 Å, 37.76°, I 55; d = 2.217 Å, 40.70°, I 57

=====

Theoretical PXRD pattern
Compound: K2Ca2In
Radiation: Cu Kα (weighted mean of Kα1 and Kα2)
Structure: the PBE geometry in Alexandria
Lines closer than 0.1° are merged.

Crystal structure
```
data_K2Ca2In
_symmetry_space_group_name_H-M 'P 4/m b m'
_symmetry_Int_Tables_number 127
_symmetry_space_group_name_Hall '-P 4 2ab'
_cell_length_a 8.390
_cell_length_b 8.390
_cell_length_c 6.915
_cell_angle_alpha 90.00
_cell_angle_beta 90.00
_cell_angle_gamma 90.00
loop_
_atom_site_label
_atom_site_type_symbol
_atom_site_fract_x
_atom_site_fract_y
_atom_site_fract_z
K1 K 0.180 0.320 0.000
Ca1 Ca 0.162 0.662 0.500
In1 In 0.000 0.000 0.500
```

Most intense lines, 15 to 90 degrees two-theta, by angle:
d = 4.503 Å, 19.72°, I 82; d = 3.587 Å, 24.82°, I 70; d = 3.457 Å, 25.77°, I 76; d = 3.298 Å, 27.04°, I 100; d = 2.966 Å, 30.13°, I 35; d = 2.653 Å, 33.78°, I 69; d = 2.477 Å, 36.27°, I 49; d = 2.251 Å, 40.05°, I 31; d = 2.105 Å, 42.97°, I 68; d = 1.964 Å, 46.22°, I 20; d = 1.952 Å, 46.52°, I 23; d = 1.449 Å, 64.30°, I 24

=====

Theoretical PXRD pattern
Compound: KCa2InSe4
Radiation: Cu Kα (weighted mean of Kα1 and Kα2)
Structure: the PBE geometry in Alexandria
Lines closer than 0.1° are merged.

Crystal structure
```
data_KCa2InSe4
_symmetry_space_group_name_H-M 'I m m a'
_symmetry_Int_Tables_number 74
_symmetry_space_group_name_Hall '-I 2b 2'
_cell_length_a 8.524
_cell_length_b 8.672
_cell_length_c 11.942
_cell_angle_alpha 90.00
_cell_angle_beta 90.00
_cell_angle_gamma 90.00
loop_
_atom_site_label
_atom_site_type_symbol
_atom_site_fract_x
_atom_site_fract_y
_atom_site_fract_z
K1 K 0.250 0.250 0.250
Ca1 Ca 0.000 0.000 0.000
Ca2 Ca 0.250 0.250 0.750
In1 In 0.000 0.000 0.500
Se1 Se 0.000 0.018 0.725
Se2 Se 0.244 0.250 0.992
```

Most intense lines, 15 to 90 degrees two-theta, by angle:
d = 3.677 Å, 24.20°, I 11; d = 3.040 Å, 29.38°, I 100; d = 2.986 Å, 29.93°, I 43; d = 2.168 Å, 41.66°, I 18; d = 2.130 Å, 42.43°, I 81; d = 1.754 Å, 52.14°, I 16; d = 1.735 Å, 52.78°, I 16; d = 1.520 Å, 60.96°, I 11; d = 1.354 Å, 69.39°, I 13; d = 1.340 Å, 70.25°, I 9; d = 1.244 Å, 76.57°, I 9; d = 1.230 Å, 77.62°, I 13

=====

Theoretical PXRD pattern
Compound: CaLa5In3
Radiation: Cu Kα (weighted mean of Kα1 and Kα2)
Structure: the PBE geometry in Alexandria
Lines closer than 0.1° are merged.

Crystal structure
```
data_CaLa5In3
_symmetry_space_group_name_H-M 'P 63/m c m'
_symmetry_Int_Tables_number 193
_symmetry_space_group_name_Hall '-P 6c 2'
_cell_length_a 9.7703
_cell_length_b 9.7703
_cell_length_c 7.0703
_cell_angle_alpha 90.00
_cell_angle_beta 90.00
_cell_angle_gamma 120.00
loop_
_atom_site_label
_atom_site_type_symbol
_atom_site_fract_x
_atom_site_fract_y
_atom_site_fract_z
Ca1 Ca 0.0000 0.0000 0.0000
La1 La 0.0000 0.3376 0.2500
La2 La 0.3333 0.6667 0.0000
In1 In 0.0000 0.3273 0.7500
```

Most intense lines, 15 to 90 degrees two-theta, by angle:
d = 3.535 Å, 25.19°, I 10; d = 2.864 Å, 31.23°, I 87; d = 2.820 Å, 31.73°, I 100; d = 2.205 Å, 40.93°, I 17; d = 2.010 Å, 45.12°, I 31; d = 1.637 Å, 56.20°, I 32; d = 1.628 Å, 56.51°, I 19; d = 1.498 Å, 61.96°, I 29; d = 1.410 Å, 66.27°, I 12; d = 1.265 Å, 75.08°, I 13; d = 1.198 Å, 80.14°, I 13; d = 1.102 Å, 88.75°, I 11